This entry pairs a crystal structure of KAg2PtBr8 with its simulated powder XRD pattern. Radiation: Cu Kα (λ = 1.5418 Å). Structure: a crystal structure in Alexandria, relaxed with GGA-PBE.

Structural model:
Unit cell a=6.8618 b=7.2257 c=9.0914 alpha=100.47 beta=93.47 gamma=110.06
Space group P-1 (No. 2)
Inequivalent atoms, fractional coordinates:
K1 0.0000 0.0000 0.0000 (multiplicity 1)
Ag1 0.3986 0.4324 0.8005 (multiplicity 2)
Pt1 0.0000 0.0000 0.5000 (multiplicity 1)
Br1 0.0521 0.7670 0.2788 (multiplicity 2)
Br2 0.0805 0.7881 0.6679 (multiplicity 2)
Br3 0.3799 0.2162 0.5322 (multiplicity 2)
Br4 0.4707 0.7567 0.0003 (multiplicity 2)

The 6 most intense peaks (5 to 70 degrees two-theta), sorted by position:
| hkl | d_spacing | Position (°2θ) | I_rel |
| --- | --- | --- | --- |
| 0 1 -1 | 5.960 | 14.86 | 72 |
| 1 -1 0 | 5.751 | 15.41 | 72 |
| 1 0 -1 | 5.543 | 15.99 | 100 |
| 2 0 0 | 3.194 | 27.93 | 46 |
| 1 -2 2 | 2.982 | 29.96 | 74 |
| -1 2 2 | 2.560 | 35.06 | 81 |